1.
Structure and computed powder X-ray diffraction pattern of LiAcH6Pt (a crystal structure in Alexandria, relaxed with PBE; λ = 1.5418 Å (Cu Kα)).

The 6 most intense peaks (10° ≤ 2θ ≤ 90°), sorted by position:
2θ (°), intensity, h k l
21.77, 31, 1 0 0
28.92, 100, 1 0 1
38.18, 43, 1 1 0
48.60, 25, 2 0 1
55.08, 23, 1 1 2
63.42, 34, 2 1 1

Cell and atoms:
```
data_LiAcH6Pt
_space_group_name_H-M_alt 'P -6 m 2'
_space_group_IT_number 187
_space_group_name_Hall 'P -6 2'
_cell_length_a 4.7136
_cell_length_b 4.7136
_cell_length_c 4.7175
_cell_angle_alpha 90.00
_cell_angle_beta 90.00
_cell_angle_gamma 120.00
loop_
_atom_site_label
_atom_site_fract_x
_atom_site_fract_y
_atom_site_fract_z
Li1 0.0000 0.0000 0.0000
Ac1 0.6667 0.3333 0.5000
H1 0.1750 0.3500 0.2501
Pt1 0.3333 0.6667 0.0000
```

=====

2.
Structure and computed powder X-ray diffraction pattern of AcMgMn2H8 (a crystal structure in Alexandria, relaxed with PBE; λ = 1.5418 Å (Cu Kα)).

The 6 most intense peaks (10° ≤ 2θ ≤ 90°), sorted by position:
2θ (°), intensity, h k l
22.40, 43, 1 0 0
26.87, 100, 1 0 1
29.55, 21, 0 0 2
37.40, 34, 0 1 2
39.32, 38, 1 1 0
49.94, 30, 2 -1 2

Cell and atoms:
```
data_AcMgMn2H8
_space_group_name_H-M_alt 'P -3'
_space_group_IT_number 147
_cell_length_a 4.5833
_cell_length_b 4.5833
_cell_length_c 6.0452
_cell_angle_alpha 90.00
_cell_angle_beta 90.00
_cell_angle_gamma 120.00
loop_
_space_group_symop_operation_xyz
'x,y,z'
'-x,-y,-z'
'-y,x-y,z'
'y,-x+y,-z'
'-x+y,-x,z'
'x-y,x,-z'
loop_
_atom_site_label
_atom_site_fract_x
_atom_site_fract_y
_atom_site_fract_z
Ac1 0.0000 0.0000 0.0000
Mg1 0.0000 0.0000 0.5000
Mn1 0.3333 0.6667 0.5715
H1 0.0507 0.6428 0.3490
H2 0.3333 0.6667 0.8670
```

=====

3.
Structure and computed powder X-ray diffraction pattern of AcMgNiH6 (a crystal structure in Alexandria, relaxed with PBE; λ = 1.5418 Å (Cu Kα)).

The 6 most intense peaks (10° ≤ 2θ ≤ 90°), sorted by position:
2θ (°), intensity, h k l
21.83, 41, 1 0 0
29.00, 100, 1 0 1
38.28, 42, 1 1 0
48.75, 24, 2 0 1
55.24, 23, 1 1 2
63.60, 33, 2 1 1

Cell and atoms:
```
data_AcMgNiH6
_space_group_name_H-M_alt 'P -6 m 2'
_space_group_IT_number 187
_space_group_name_Hall 'P -6 2'
_cell_length_a 4.7003
_cell_length_b 4.7003
_cell_length_c 4.7072
_cell_angle_alpha 90.00
_cell_angle_beta 90.00
_cell_angle_gamma 120.00
loop_
_atom_site_label
_atom_site_fract_x
_atom_site_fract_y
_atom_site_fract_z
Ac1 0.0000 0.0000 0.0000
Mg1 0.3333 0.6667 0.5000
Ni1 0.6667 0.3333 0.5000
H1 0.5185 0.0371 0.2457
```